(1)
The following is a calculated powder XRD pattern of YTl2Pt. It was derived from DFT lattice parameters and positions (PBE), using Cu Ka.

Cell and atoms:
Cell lengths 3.8168, 3.9985, 7.0336 Å; angles 90.00, 105.42, 90.00 degrees
Atoms (fractional coordinates):
Y1 0.0000 0.0000 0.0000
Tl1 0.3496 0.5000 0.6955
Tl2 0.7310 0.0000 0.4487
Pt1 0.5659 0.5000 0.1351

Peak list (10 most intense, 10 to 80 degrees two-theta, by angle)
2theta, Rel. int.
24.23, 36
25.87, 17
33.11, 100
34.69, 83
40.70, 19
40.93, 17
45.36, 24
47.65, 21
60.14, 17
60.41, 17


(2)
The following is a calculated powder XRD pattern of InPb. It was derived from DFT lattice parameters and positions (PBE), using Cu Ka.

Cell and atoms:
Cell lengths 3.4545, 3.4545, 9.9250 Å; angles 90.00, 90.00, 90.00 degrees
Atoms (fractional coordinates):
In1 0.2500 0.2500 0.1188
In2 0.7500 0.7500 0.8812
Pb1 0.2500 0.2500 0.6292
Pb2 0.7500 0.7500 0.3708

Peak list (10 most intense, 10 to 80 degrees two-theta, by angle)
2theta, Rel. int.
27.34, 6
31.56, 100
36.20, 17
36.79, 33
52.58, 24
53.02, 12
62.23, 14
63.02, 28
65.89, 12
78.28, 4


(3)
The following is a calculated powder XRD pattern of Cd2Si. It was derived from DFT lattice parameters and positions (PBE), using Cu Ka.

Cell and atoms:
Cell lengths 2.9382, 2.9382, 24.7717 Å; angles 90.00, 90.00, 120.00 degrees
Atoms (fractional coordinates):
Cd1 0.0000 0.0000 0.0000
Cd2 0.0000 0.0000 0.2177
Cd3 0.3333 0.6667 0.6667
Cd4 0.3333 0.6667 0.8843
Cd5 0.6667 0.3333 0.3333
Cd6 0.6667 0.3333 0.5510
Si1 0.0000 0.0000 0.7762
Si2 0.3333 0.6667 0.4428
Si3 0.6667 0.3333 0.1095

Peak list (10 most intense, 10 to 80 degrees two-theta, by angle)
2theta, Rel. int.
10.71, 75
21.52, 30
32.53, 67
35.46, 66
38.24, 100
39.83, 98
51.49, 27
63.30, 28
64.10, 24
73.00, 36


(4)
The following is a calculated powder XRD pattern of ErIn4AgSe8. It was derived from DFT lattice parameters and positions (PBE), using Cu Ka.

Cell and atoms:
Cell lengths 8.1925, 8.1925, 8.1925 Å; angles 60.07, 60.07, 60.07 degrees
Atoms (fractional coordinates):
Er1 0.0000 0.0000 0.0000
In1 0.4732 0.9982 0.9982
In2 0.6166 0.6166 0.6166
In3 0.9982 0.4732 0.9982
In4 0.9982 0.9982 0.4732
Ag1 0.3654 0.3654 0.3654
Se1 0.2168 0.7504 0.7504
Se2 0.2344 0.2344 0.2344
Se3 0.2408 0.2408 0.7587
Se4 0.2408 0.7587 0.2408
Se5 0.7504 0.2168 0.7504
Se6 0.7504 0.7504 0.2168
Se7 0.7531 0.7531 0.7531
Se8 0.7587 0.2408 0.2408

Peak list (10 most intense, 10 to 80 degrees two-theta, by angle)
2theta, Rel. int.
13.23, 17
21.68, 22
25.49, 80
30.85, 62
40.43, 45
44.20, 100
54.87, 15
61.44, 18
64.29, 15
73.00, 17


(5)
The following is a calculated powder XRD pattern of NdH6RuRh. It was derived from DFT lattice parameters and positions (PBE), using Cu Ka.

Cell and atoms:
Cell lengths 4.6832, 4.6832, 4.3315 Å; angles 90.00, 90.00, 120.00 degrees
Atoms (fractional coordinates):
Nd1 0.0000 0.0000 0.0000
H1 0.5044 0.0088 0.2299
H2 0.5044 0.0088 0.7701
H3 0.5044 0.4956 0.2299
H4 0.5044 0.4956 0.7701
H5 0.9912 0.4956 0.2299
H6 0.9912 0.4956 0.7701
Ru1 0.6667 0.3333 0.5000
Rh1 0.3333 0.6667 0.5000

Peak list (10 most intense, 10 to 80 degrees two-theta, by angle)
2theta, Rel. int.
20.50, 3
30.19, 100
38.44, 52
41.70, 13
43.96, 2
49.64, 25
58.01, 31
64.48, 23
69.05, 9
69.53, 9


(6)
The following is a calculated powder XRD pattern of CaTbF6. It was derived from DFT lattice parameters and positions (PBE), using Cu Ka.

Cell and atoms:
Cell lengths 5.4595, 5.4595, 7.9760 Å; angles 90.00, 90.00, 90.00 degrees
Atoms (fractional coordinates):
Ca1 0.0000 0.0000 0.0000
Ca2 0.0000 0.0000 0.5000
Tb1 0.5000 0.5000 0.2500
Tb2 0.5000 0.5000 0.7500
F1 0.2080 0.2407 0.1759
F2 0.2080 0.2407 0.8241
F3 0.2407 0.7920 0.3241
F4 0.2407 0.7920 0.6759
F5 0.3166 0.3337 0.5000
F6 0.3337 0.6834 0.0000
F7 0.6663 0.3166 0.0000
F8 0.6834 0.6663 0.5000
F9 0.7593 0.2080 0.3241
F10 0.7593 0.2080 0.6759
F11 0.7920 0.7593 0.1759
F12 0.7920 0.7593 0.8241

Peak list (10 most intense, 10 to 80 degrees two-theta, by angle)
2theta, Rel. int.
16.24, 71
22.29, 18
23.04, 100
27.70, 86
32.27, 22
36.81, 19
43.46, 78
47.08, 25
51.59, 21
55.50, 25


(7)
The following is a calculated powder XRD pattern of DyPaPd6. It was derived from DFT lattice parameters and positions (PBE), using Cu Ka.

Cell and atoms:
Cell lengths 4.1360, 4.1360, 8.2620 Å; angles 90.00, 90.00, 90.00 degrees
Atoms (fractional coordinates):
Dy1 0.0000 0.0000 0.0000
Pa1 0.0000 0.0000 0.5000
Pd1 0.0000 0.5000 0.2553
Pd2 0.0000 0.5000 0.7447
Pd3 0.5000 0.0000 0.2553
Pd4 0.5000 0.0000 0.7447
Pd5 0.5000 0.5000 0.0000
Pd6 0.5000 0.5000 0.5000

Peak list (10 most intense, 10 to 80 degrees two-theta, by angle)
2theta, Rel. int.
10.71, 3
21.49, 8
30.58, 7
37.69, 100
43.79, 49
49.28, 4
54.36, 3
63.66, 32
68.03, 2
76.40, 37